For La5Hg2PdRu2, DFT lattice parameters and positions (GGA-PBE) gives the simulated X-ray diffraction stick pattern in this record (Cu Kα, 1.54184 Å).
Lines closer than 0.1° are merged.

Structure:
```
data_La5Hg2PdRu2
_chemical_formula_sum 'La10 Hg4 Pd2 Ru4'
_cell_length_a 11.936
_cell_length_b 11.936
_cell_length_c 3.780
_cell_angle_alpha 90.00
_cell_angle_beta 90.00
_cell_angle_gamma 90.00
_space_group_name_H-M_alt 'P 4/m b m'
_space_group_IT_number 127
_space_group_name_Hall '-P 4 2ab'
loop_
_atom_site_label
_atom_site_type_symbol
_atom_site_fract_x
_atom_site_fract_y
_atom_site_fract_z
La1 La 0.000 0.500 0.000
La2 La 0.075 0.202 0.000
Hg1 Hg 0.178 0.678 0.500
Pd1 Pd 0.000 0.000 0.500
Ru1 Ru 0.134 0.366 0.500
```

Largest 6 diffraction maxima, low angle first, 2θ from 15° to 90°:
28.95 deg, I = 17.6; 30.89 deg, I = 47.8; 31.80 deg, I = 32.5; 33.56 deg, I = 100.0; 36.07 deg, I = 31.0; 54.34 deg, I = 20.9